# 1
For Mg2Cr2O7, the PBE+U geometry in Alexandria gives the calculated powder XRD pattern in this record (Cu Kα).
No peak broadening, texture or thermal motion is included.

Main lines, by intensity (10° ≤ 2θ ≤ 90°):
25.62 deg, intensity 100, hkl 2 0 -2
28.28 deg, intensity 89, hkl 0 2 2
28.02 deg, intensity 70, hkl 1 1 2
21.06 deg, intensity 40, hkl 0 2 0
33.40 deg, intensity 31, hkl 2 2 -2
55.45 deg, intensity 25, hkl 1 3 4

Structural model:
Lattice parameters (Å, degrees): 7.561 8.436 10.136 90.00 110.23 90.00
Space group C2/c (No. 15)
One atom of each set of equivalent atoms:
1 Mg 0.055 0.178 0.482 [8 per cell]
2 Cr 0.196 0.487 0.711 [8 per cell]
3 O 0.000 0.407 0.750 [4 per cell]
4 O 0.118 0.003 0.632 [8 per cell]
5 O 0.132 0.348 0.117 [8 per cell]
6 O 0.242 0.341 0.606 [8 per cell]


# 2
For MgCr4P4O16, the PBE+U geometry in Alexandria gives the calculated powder XRD pattern in this record (Cu Kα).
No peak broadening, texture or thermal motion is included.

Main lines, by intensity (10° ≤ 2θ ≤ 90°):
14.43 deg, intensity 100, hkl 0 1 -1
20.01 deg, intensity 53, hkl 0 1 -2
23.43 deg, intensity 49, hkl 1 0 -2
29.64 deg, intensity 46, hkl 0 2 0
15.84 deg, intensity 35, hkl 1 0 0
29.04 deg, intensity 33, hkl 0 2 -2

Structural model:
Lattice parameters (Å, degrees): 5.764 6.580 9.583 110.01 95.28 100.16
Space group P1 (No. 1)
One atom of each set of equivalent atoms:
1 Mg 0.000 0.000 0.000 [1 per cell]
2 Cr 0.121 0.562 0.015 [1 per cell]
3 Cr 0.300 0.091 0.633 [1 per cell]
4 Cr 0.716 0.545 0.735 [1 per cell]
5 Cr 0.878 0.119 0.381 [1 per cell]
6 P 0.182 0.574 0.649 [1 per cell]
7 P 0.299 0.072 0.268 [1 per cell]
8 P 0.700 0.618 0.124 [1 per cell]
9 P 0.833 0.090 0.749 [1 per cell]
10 O 0.044 0.229 0.885 [1 per cell]
11 O 0.094 0.191 0.230 [1 per cell]
12 O 0.096 0.629 0.808 [1 per cell]
13 O 0.184 0.996 0.389 [1 per cell]
14 O 0.277 0.885 0.110 [1 per cell]
15 O 0.293 0.783 0.627 [1 per cell]
16 O 0.365 0.425 0.646 [1 per cell]
17 O 0.441 0.485 0.060 [1 per cell]
18 O 0.554 0.204 0.327 [1 per cell]
19 O 0.640 0.226 0.753 [1 per cell]
20 O 0.703 0.816 0.268 [1 per cell]
21 O 0.756 0.885 0.791 [1 per cell]
22 O 0.814 0.704 0.003 [1 per cell]
23 O 0.886 0.480 0.143 [1 per cell]
24 O 0.919 0.041 0.596 [1 per cell]
25 O 0.957 0.432 0.532 [1 per cell]


# 3
For MgCr2P2O10, the PBE+U geometry in Alexandria gives the calculated powder XRD pattern in this record (Cu Kα).
No peak broadening, texture or thermal motion is included.

Main lines, by intensity (10° ≤ 2θ ≤ 90°):
31.96 deg, intensity 100, hkl 1 1 5
27.31 deg, intensity 81, hkl 1 3 1
31.73 deg, intensity 78, hkl 1 3 3
31.67 deg, intensity 62, hkl 2 2 2
29.53 deg, intensity 39, hkl 2 2 0
15.68 deg, intensity 38, hkl 1 1 1

Structural model:
Lattice parameters (Å, degrees): 7.158 11.325 15.793 90.00 90.00 90.00
Space group Fddd (No. 70, origin choice 2)
One atom of each set of equivalent atoms:
1 Mg 0.125 0.125 0.125 [8 per cell]
2 Cr 0.000 0.000 0.500 [16 per cell]
3 P 0.125 0.125 0.332 [16 per cell]
4 O 0.045 0.364 0.523 [32 per cell]
5 O 0.096 0.014 0.860 [32 per cell]
6 O 0.125 0.125 0.547 [16 per cell]


# 4
For Mg6TiCrO8, the PBE+U geometry in Alexandria gives the calculated powder XRD pattern in this record (Cu Kα).
No peak broadening, texture or thermal motion is included.

Main lines, by intensity (10° ≤ 2θ ≤ 90°):
42.43 deg, intensity 100, hkl 2 0 0
60.34 deg, intensity 59, hkl 2 0 4
40.81 deg, intensity 55, hkl 0 0 4
36.08 deg, intensity 34, hkl 1 1 2
61.57 deg, intensity 28, hkl 2 2 0
76.53 deg, intensity 26, hkl 2 2 4

Structural model:
Lattice parameters (Å, degrees): 4.260 4.260 8.844 90.00 90.00 90.00
Space group P4/mmm (No. 123)
One atom of each set of equivalent atoms:
1 Mg 0.000 0.000 0.000 [1 per cell]
2 Mg 0.000 0.500 0.243 [4 per cell]
3 Mg 0.500 0.500 0.000 [1 per cell]
4 Ti 0.000 0.000 0.500 [1 per cell]
5 Cr 0.500 0.500 0.500 [1 per cell]
6 O 0.000 0.000 0.247 [2 per cell]
7 O 0.000 0.500 0.000 [2 per cell]
8 O 0.000 0.500 0.500 [2 per cell]
9 O 0.500 0.500 0.235 [2 per cell]